Entry 1:
This entry pairs a crystal structure of CsYSi with its calculated powder X-ray diffraction pattern. Radiation: copper Kα. Structure: the GGA-PBE geometry in Alexandria.
Kinematic intensities with the Lorentz-polarization factor, no thermal factor.

Structural model:
```
data_CsYSi
_chemical_formula_sum 'Cs2 Y2 Si2'
_cell_length_a 4.669
_cell_length_b 4.670
_cell_length_c 14.640
_cell_angle_alpha 87.33
_cell_angle_beta 88.10
_cell_angle_gamma 60.04
_symmetry_space_group_name_H-M 'P 1'
_symmetry_Int_Tables_number 1
loop_
_symmetry_equiv_pos_as_xyz
'x,y,z'
loop_
_atom_site_label
_atom_site_type_symbol
_atom_site_fract_x
_atom_site_fract_y
_atom_site_fract_z
Cs1 Cs 0.000 0.000 0.000
Cs2 Cs 0.360 0.417 0.345
Y1 Y 0.017 0.051 0.595
Y2 Y 0.677 0.697 0.764
Si1 Si 0.341 0.355 0.834
Si2 Si 0.347 0.376 0.667
```

Most intense lines, 2θ = 10–90°, by angle:
2θ/deg	I (rel.)	(hkl)
18.20	58.7	0 0 3
22.58	35.1	1 1 1
24.79	56.7	0 1 2
25.04	58.8	1 0 2
25.54	29.2	0 1 -2
25.68	53.8	1 1 -2
28.03	35.4	1 1 3
38.58	100.0	1 -1 0

***

Entry 2:
This entry pairs a crystal structure of Ba6Sb3O2 with its calculated powder X-ray diffraction pattern. Radiation: copper Kα. Structure: the GGA-PBE geometry in Alexandria.
Kinematic intensities with the Lorentz-polarization factor, no thermal factor.

Structural model:
```
data_Ba6Sb3O2
_chemical_formula_sum 'Ba12 Sb6 O4'
_cell_length_a 5.364
_cell_length_b 5.364
_cell_length_c 28.207
_cell_angle_alpha 90.00
_cell_angle_beta 90.00
_cell_angle_gamma 90.00
_symmetry_space_group_name_H-M 'I 4/m m m'
_symmetry_Int_Tables_number 139
_symmetry_space_group_name_Hall '-I 4 2'
loop_
_atom_site_label
_atom_site_type_symbol
_atom_site_fract_x
_atom_site_fract_y
_atom_site_fract_z
Ba1 Ba 0.000 0.000 0.196
Ba2 Ba 0.000 0.500 0.085
Sb1 Sb 0.000 0.000 0.326
Sb2 Sb 0.000 0.000 0.500
O1 O 0.000 0.000 0.105
```

Most intense lines, 2θ = 10–90°, by angle:
2θ/deg	I (rel.)	(hkl)
24.30	39.8	1 1 2
26.69	17.3	1 1 4
27.69	16.5	1 0 7
30.28	100.0	1 1 6
33.41	56.7	2 0 0
46.74	15.2	2 0 10
47.97	20.1	2 2 0
57.79	31.7	3 1 6

***

Entry 3:
This entry pairs a crystal structure of HgSbPb5 with its calculated powder X-ray diffraction pattern. Radiation: copper Kα. Structure: the GGA-PBE geometry in Alexandria.
Kinematic intensities with the Lorentz-polarization factor, no thermal factor.

Structural model:
```
data_HgSbPb5
_chemical_formula_sum 'Hg1 Sb1 Pb5'
_cell_length_a 4.930
_cell_length_b 4.930
_cell_length_c 9.256
_cell_angle_alpha 90.00
_cell_angle_beta 90.00
_cell_angle_gamma 90.00
_symmetry_space_group_name_H-M 'P 4/m m m'
_symmetry_Int_Tables_number 123
_symmetry_space_group_name_Hall '-P 4 2'
loop_
_atom_site_label
_atom_site_type_symbol
_atom_site_fract_x
_atom_site_fract_y
_atom_site_fract_z
Hg1 Hg 0.000 0.000 0.000
Sb1 Sb 0.000 0.000 0.500
Pb1 Pb 0.000 0.500 0.264
Pb2 Pb 0.500 0.500 0.000
```

Most intense lines, 2θ = 10–90°, by angle:
2θ/deg	I (rel.)	(hkl)
32.15	100.0	1 1 2
36.45	36.6	2 0 0
38.92	14.5	0 0 4
52.50	13.1	2 2 0
54.38	22.0	2 0 4
62.91	30.2	3 1 2
66.25	11.2	1 1 6
67.24	11.9	2 2 4

***

Entry 4:
This entry pairs a crystal structure of NaRe2S4 with its calculated powder X-ray diffraction pattern. Radiation: copper Kα. Structure: the GGA-PBE geometry in Alexandria.
Kinematic intensities with the Lorentz-polarization factor, no thermal factor.

Structural model:
```
data_NaRe2S4
_chemical_formula_sum 'Na4 Re8 S16'
_cell_length_a 7.561
_cell_length_b 8.406
_cell_length_c 7.812
_cell_angle_alpha 90.00
_cell_angle_beta 90.00
_cell_angle_gamma 90.00
_symmetry_space_group_name_H-M 'I m a 2'
_symmetry_Int_Tables_number 46
loop_
_symmetry_equiv_pos_as_xyz
'x,y,z'
'-x,-y,z'
'-x+1/2,y,z'
'x+1/2,-y,z'
'x+1/2,y+1/2,z+1/2'
'-x+1/2,-y+1/2,z+1/2'
'-x,y+1/2,z+1/2'
'x,-y+1/2,z+1/2'
loop_
_atom_site_label
_atom_site_type_symbol
_atom_site_fract_x
_atom_site_fract_y
_atom_site_fract_z
Na1 Na 0.250 0.097 0.000
Re1 Re 0.000 0.000 0.499
Re2 Re 0.250 0.706 0.183
S1 S 0.057 0.722 0.451
S2 S 0.250 0.071 0.673
S3 S 0.250 0.508 0.796
```

Most intense lines, 2θ = 10–90°, by angle:
2θ/deg	I (rel.)	(hkl)
15.48	100.0	0 1 1
15.76	71.4	1 1 0
27.81	27.5	1 1 2
28.29	28.8	2 1 1
31.84	23.0	2 2 0
32.97	67.3	2 0 2
41.76	33.0	2 3 1
43.55	33.3	2 1 3

***

Entry 5:
This entry pairs a crystal structure of Ti4In5Pd with its calculated powder X-ray diffraction pattern. Radiation: copper Kα. Structure: the GGA-PBE geometry in Alexandria.
Kinematic intensities with the Lorentz-polarization factor, no thermal factor.

Structural model:
```
data_Ti4In5Pd
_chemical_formula_sum 'Ti4 In5 Pd1'
_cell_length_a 3.041
_cell_length_b 3.041
_cell_length_c 20.493
_cell_angle_alpha 90.00
_cell_angle_beta 90.00
_cell_angle_gamma 90.00
_symmetry_space_group_name_H-M 'P 4/m m m'
_symmetry_Int_Tables_number 123
_symmetry_space_group_name_Hall '-P 4 2'
loop_
_atom_site_label
_atom_site_type_symbol
_atom_site_fract_x
_atom_site_fract_y
_atom_site_fract_z
Ti1 Ti 0.000 0.000 0.103
Ti2 Ti 0.000 0.000 0.308
In1 In 0.500 0.500 0.000
In2 In 0.500 0.500 0.205
In3 In 0.500 0.500 0.408
Pd1 Pd 0.000 0.000 0.500
```

Most intense lines, 2θ = 10–90°, by angle:
2θ/deg	I (rel.)	(hkl)
21.68	9.6	0 0 5
29.37	9.8	1 0 0
36.80	100.0	1 0 5
42.02	35.1	1 1 0
44.19	13.8	0 0 10
60.93	11.1	2 0 0
62.62	18.2	1 1 10
73.34	24.4	2 1 5

***

Entry 6:
This entry pairs a crystal structure of SrMgGaN2 with its calculated powder X-ray diffraction pattern. Radiation: copper Kα. Structure: the GGA-PBE geometry in Alexandria.
Kinematic intensities with the Lorentz-polarization factor, no thermal factor.

Structural model:
```
data_SrMgGaN2
_chemical_formula_sum 'Sr2 Mg2 Ga2 N4'
_cell_length_a 5.938
_cell_length_b 4.780
_cell_length_c 6.092
_cell_angle_alpha 90.00
_cell_angle_beta 98.71
_cell_angle_gamma 90.00
_symmetry_space_group_name_H-M 'P 1 2/c 1'
_symmetry_Int_Tables_number 13
loop_
_symmetry_equiv_pos_as_xyz
'x,y,z'
'-x,-y,-z'
'-x,y,-z+1/2'
'x,-y,z+1/2'
loop_
_atom_site_label
_atom_site_type_symbol
_atom_site_fract_x
_atom_site_fract_y
_atom_site_fract_z
Sr1 Sr 0.000 0.249 0.250
Mg1 Mg 0.500 0.010 0.750
Ga1 Ga 0.500 0.500 0.000
N1 N 0.286 0.205 0.964
```

Most intense lines, 2θ = 10–90°, by angle:
2θ/deg	I (rel.)	(hkl)
23.76	67.5	0 1 1
29.48	84.5	1 1 1
30.46	73.7	2 0 0
31.27	61.7	1 0 -2
35.23	33.0	0 1 2
37.10	34.6	2 1 -1
40.77	100.0	1 2 0
61.21	46.9	3 2 0

***

Entry 7:
This entry pairs a crystal structure of MgTiSiO5 with its calculated powder X-ray diffraction pattern. Radiation: copper Kα. Structure: the GGA-PBE geometry in Alexandria.
Kinematic intensities with the Lorentz-polarization factor, no thermal factor.

Structural model:
```
data_MgTiSiO5
_chemical_formula_sum 'Mg4 Ti4 Si4 O20'
_cell_length_a 7.137
_cell_length_b 8.230
_cell_length_c 7.318
_cell_angle_alpha 90.00
_cell_angle_beta 116.19
_cell_angle_gamma 90.00
_symmetry_space_group_name_H-M 'C 1 c 1'
_symmetry_Int_Tables_number 9
loop_
_symmetry_equiv_pos_as_xyz
'x,y,z'
'x,-y,z+1/2'
'x+1/2,y+1/2,z'
'x+1/2,-y+1/2,z+1/2'
loop_
_atom_site_label
_atom_site_type_symbol
_atom_site_fract_x
_atom_site_fract_y
_atom_site_fract_z
Mg1 Mg 0.000 0.203 0.000
Ti1 Ti 0.120 0.496 0.348
Si1 Si 0.137 0.157 0.624
O1 O 0.075 0.270 0.776
O2 O 0.134 0.413 0.126
O3 O 0.212 0.277 0.488
O4 O 0.334 0.039 0.765
O5 O 0.448 0.466 0.986
```

Most intense lines, 2θ = 10–90°, by angle:
2θ/deg	I (rel.)	(hkl)
17.55	43.9	1 1 0
25.54	22.8	0 2 1
25.72	37.8	1 1 1
26.73	100.0	1 1 -2
27.86	50.7	2 0 0
34.96	22.1	0 2 2
35.60	28.4	1 3 0
61.85	24.9	1 5 -2

***

Entry 8:
This entry pairs a crystal structure of Fe2IrRh with its calculated powder X-ray diffraction pattern. Radiation: copper Kα. Structure: the GGA-PBE geometry in Alexandria.
Kinematic intensities with the Lorentz-polarization factor, no thermal factor.

Structural model:
```
data_Fe2IrRh
_chemical_formula_sum 'Fe2 Ir1 Rh1'
_cell_length_a 2.663
_cell_length_b 4.268
_cell_length_c 4.865
_cell_angle_alpha 90.00
_cell_angle_beta 95.25
_cell_angle_gamma 90.00
_symmetry_space_group_name_H-M 'P 1 2/m 1'
_symmetry_Int_Tables_number 10
loop_
_symmetry_equiv_pos_as_xyz
'x,y,z'
'-x,-y,-z'
'-x,y,-z'
'x,-y,z'
loop_
_atom_site_label
_atom_site_type_symbol
_atom_site_fract_x
_atom_site_fract_y
_atom_site_fract_z
Fe1 Fe 0.243 0.000 0.248
Ir1 Ir 0.500 0.500 0.000
Rh1 Rh 0.000 0.500 0.500
```

Most intense lines, 2θ = 10–90°, by angle:
2θ/deg	I (rel.)	(hkl)
20.81	29.1	0 1 0
37.12	13.8	0 0 2
40.24	30.1	1 0 1
42.35	26.0	0 2 0
42.94	100.0	0 1 2
59.84	18.3	1 2 1
75.00	18.4	2 1 0
77.87	16.7	0 3 2

***

Entry 9:
This entry pairs a crystal structure of Cu2Ni7 with its calculated powder X-ray diffraction pattern. Radiation: copper Kα. Structure: the GGA-PBE geometry in Alexandria.
Kinematic intensities with the Lorentz-polarization factor, no thermal factor.

Structural model:
```
data_Cu2Ni7
_chemical_formula_sum 'Cu2 Ni7'
_cell_length_a 4.3300
_cell_length_b 4.3300
_cell_length_c 6.1306
_cell_angle_alpha 90.00
_cell_angle_beta 90.00
_cell_angle_gamma 120.00
_symmetry_space_group_name_H-M 'P -3 1 m'
_symmetry_Int_Tables_number 162
_symmetry_space_group_name_Hall '-P 3 2'
loop_
_atom_site_label
_atom_site_type_symbol
_atom_site_fract_x
_atom_site_fract_y
_atom_site_fract_z
Cu1 Cu 0.3333 0.6667 0.0000
Ni1 Ni 0.0000 0.0000 0.0000
Ni2 Ni 0.0000 0.3309 0.6643
```

Most intense lines, 2θ = 10–90°, by angle:
2θ/deg	I (rel.)	(hkl)
44.36	100.0	1 1 1
51.69	46.4	2 -1 2
76.12	26.7	3 0 0

***

Entry 10:
This entry pairs a crystal structure of PuPd4Au with its calculated powder X-ray diffraction pattern. Radiation: copper Kα. Structure: the GGA-PBE geometry in Alexandria.
Kinematic intensities with the Lorentz-polarization factor, no thermal factor.

Structural model:
```
data_PuPd4Au
_chemical_formula_sum 'Pu4 Pd16 Au4'
_cell_length_a 7.565
_cell_length_b 7.565
_cell_length_c 7.565
_cell_angle_alpha 90.00
_cell_angle_beta 90.00
_cell_angle_gamma 90.00
_symmetry_space_group_name_H-M 'F -4 3 m'
_symmetry_Int_Tables_number 216
_symmetry_space_group_name_Hall 'F -4 2 3'
loop_
_atom_site_label
_atom_site_type_symbol
_atom_site_fract_x
_atom_site_fract_y
_atom_site_fract_z
Pu1 Pu 0.000 0.000 0.000
Pd1 Pd 0.125 0.125 0.375
Au1 Au 0.250 0.250 0.750
```

Most intense lines, 2θ = 10–90°, by angle:
2θ/deg	I (rel.)	(hkl)
33.51	53.3	2 2 0
39.51	100.0	3 1 1
41.35	20.1	2 2 2
59.90	20.8	4 2 2
63.95	32.5	5 1 1
70.41	25.0	4 4 0
80.26	9.3	6 2 0
83.87	11.7	5 3 3

***

Entry 11:
This entry pairs a crystal structure of Cd2HgO2 with its calculated powder X-ray diffraction pattern. Radiation: copper Kα. Structure: the GGA-PBE geometry in Alexandria.
Kinematic intensities with the Lorentz-polarization factor, no thermal factor.

Structural model:
```
data_Cd2HgO2
_chemical_formula_sum 'Cd2 Hg1 O2'
_cell_length_a 4.493
_cell_length_b 3.984
_cell_length_c 6.228
_cell_angle_alpha 90.00
_cell_angle_beta 95.40
_cell_angle_gamma 90.00
_symmetry_space_group_name_H-M 'P 1 m 1'
_symmetry_Int_Tables_number 6
loop_
_symmetry_equiv_pos_as_xyz
'x,y,z'
'x,-y,z'
loop_
_atom_site_label
_atom_site_type_symbol
_atom_site_fract_x
_atom_site_fract_y
_atom_site_fract_z
Cd1 Cd 0.000 0.000 0.000
Cd2 Cd 0.477 0.500 0.815
Hg1 Hg 0.476 0.000 0.429
O1 O 0.505 0.000 0.022
O2 O 0.981 0.500 0.838
```

Most intense lines, 2θ = 10–90°, by angle:
2θ/deg	I (rel.)	(hkl)
19.85	49.4	1 0 0
23.40	48.3	1 0 -1
26.60	67.1	0 1 1
28.80	46.1	0 0 2
32.56	100.0	1 1 -1
34.24	81.5	1 1 1
36.74	79.0	0 1 2
40.33	42.9	2 0 0

***

Entry 12:
This entry pairs a crystal structure of Nd2HfZn with its calculated powder X-ray diffraction pattern. Radiation: copper Kα. Structure: the GGA-PBE geometry in Alexandria.
Kinematic intensities with the Lorentz-polarization factor, no thermal factor.

Structural model:
```
data_Nd2HfZn
_chemical_formula_sum 'Nd2 Hf1 Zn1'
_cell_length_a 3.464
_cell_length_b 3.464
_cell_length_c 8.831
_cell_angle_alpha 90.00
_cell_angle_beta 90.00
_cell_angle_gamma 90.00
_symmetry_space_group_name_H-M 'P 4/m m m'
_symmetry_Int_Tables_number 123
_symmetry_space_group_name_Hall '-P 4 2'
loop_
_atom_site_label
_atom_site_type_symbol
_atom_site_fract_x
_atom_site_fract_y
_atom_site_fract_z
Nd1 Nd 0.000 0.000 0.233
Hf1 Hf 0.500 0.500 0.500
Zn1 Zn 0.500 0.500 0.000
```

Most intense lines, 2θ = 10–90°, by angle:
2θ/deg	I (rel.)	(hkl)
27.66	10.1	1 0 1
32.86	100.0	1 0 2
36.69	38.1	1 1 0
40.87	12.7	0 0 4
52.86	13.3	2 0 0
56.08	20.1	1 1 4
63.66	29.6	2 1 2
68.91	10.8	2 0 4

***

Entry 13:
This entry pairs a crystal structure of ZnReP3 with its calculated powder X-ray diffraction pattern. Radiation: copper Kα. Structure: the GGA-PBE geometry in Alexandria.
Kinematic intensities with the Lorentz-polarization factor, no thermal factor.

Structural model:
```
data_ZnReP3
_chemical_formula_sum 'Zn1 Re1 P3'
_cell_length_a 4.658
_cell_length_b 4.658
_cell_length_c 4.658
_cell_angle_alpha 90.00
_cell_angle_beta 90.00
_cell_angle_gamma 90.00
_symmetry_space_group_name_H-M 'P m -3 m'
_symmetry_Int_Tables_number 221
_symmetry_space_group_name_Hall '-P 4 2 3'
loop_
_atom_site_label
_atom_site_type_symbol
_atom_site_fract_x
_atom_site_fract_y
_atom_site_fract_z
Zn1 Zn 0.000 0.000 0.000
Re1 Re 0.500 0.500 0.500
P1 P 0.000 0.500 0.500
```

Most intense lines, 2θ = 10–90°, by angle:
2θ/deg	I (rel.)	(hkl)
19.05	48.7	1 0 0
27.07	100.0	1 1 0
38.66	46.9	2 0 0
43.44	23.0	2 1 0
47.83	43.6	2 1 1
55.82	31.5	2 2 0
63.11	18.9	3 1 0
76.52	21.4	3 2 1

***

Entry 14:
This entry pairs a crystal structure of Ti7NbPd4 with its calculated powder X-ray diffraction pattern. Radiation: copper Kα. Structure: the GGA-PBE geometry in Alexandria.
Kinematic intensities with the Lorentz-polarization factor, no thermal factor.

Structural model:
```
data_Ti7NbPd4
_chemical_formula_sum 'Ti7 Nb1 Pd4'
_cell_length_a 4.4315
_cell_length_b 4.4315
_cell_length_c 11.5193
_cell_angle_alpha 90.00
_cell_angle_beta 90.00
_cell_angle_gamma 120.00
_symmetry_space_group_name_H-M 'P -3 m 1'
_symmetry_Int_Tables_number 164
_symmetry_space_group_name_Hall '-P 3 2"'
loop_
_atom_site_label
_atom_site_type_symbol
_atom_site_fract_x
_atom_site_fract_y
_atom_site_fract_z
Ti1 Ti 0.0000 0.0000 0.0000
Ti2 Ti 0.0000 0.0000 0.2602
Ti3 Ti 0.3333 0.6667 0.1476
Ti4 Ti 0.3333 0.6667 0.4218
Nb1 Nb 0.0000 0.0000 0.5000
Pd1 Pd 0.3333 0.6667 0.6629
Pd2 Pd 0.3333 0.6667 0.8999
```

Most intense lines, 2θ = 10–90°, by angle:
2θ/deg	I (rel.)	(hkl)
24.45	31.4	0 1 1
39.11	100.0	1 0 4
40.72	91.4	1 1 0
57.73	37.7	0 2 4
69.76	13.8	0 1 8
73.04	27.5	2 1 4
74.11	14.8	3 0 0
88.18	11.1	2 2 0